Diffraction record for Pm2GaSi3Au4. The powder XRD pattern is calculated, not measured: it uses the GGA-PBE geometry in Alexandria and CuKα.

Atomic structure:
```
Pm2GaSi3Au4
1.0
4.3161 0.0000 0.0000
0.0000 4.3161 0.0000
0.0000 0.0000 10.5519
Pm Ga Si Au
2 1 3 4
Direct
0.0000 0.5000 0.2434
0.5000 0.0000 0.7566
0.0000 0.0000 0.5000
0.0000 0.5000 0.8668
0.5000 0.0000 0.1332
0.5000 0.5000 0.5000
0.0000 0.0000 0.0000
0.0000 0.5000 0.6364
0.5000 0.0000 0.3636
0.5000 0.5000 0.0000
```

The 8 most intense peaks (10° ≤ 2θ ≤ 90°), by angle:
2θ = 26.68°, d = 3.341 Å, intensity 31.3, hkl 1 0 2
2θ = 30.49°, d = 2.932 Å, intensity 43.5, hkl 1 1 1
2θ = 32.85°, d = 2.727 Å, intensity 42.0, hkl 1 0 3
2θ = 33.94°, d = 2.642 Å, intensity 100.0, hkl 1 1 2
2θ = 41.86°, d = 2.158 Å, intensity 57.5, hkl 2 0 0
2θ = 45.44°, d = 1.996 Å, intensity 25.7, hkl 1 1 4
2θ = 47.99°, d = 1.896 Å, intensity 24.9, hkl 1 0 5
2θ = 60.72°, d = 1.525 Å, intensity 28.1, hkl 2 2 0